No. 1
The following is a simulated powder X-ray diffraction pattern of Na3H2OsO6. It was derived from a crystal structure in the Materials Project, relaxed with GGA-PBE, using CuKα.

Top 10 peaks for 2θ from 15° to 90°, in order of rising 2θ:
Position (°2θ)  I_rel
16.8  23
17.3  37
18.6  41
19.2  31
19.7  100
25.5  25
29.6  23
31.1  20
33.1  24
35.1  34

Structure:
```
data_Na3H2OsO6
_chemical_formula_sum 'Na6 H4 Os2 O12'
_cell_length_a 5.849
_cell_length_b 9.559
_cell_length_c 6.038
_cell_angle_alpha 90.00
_cell_angle_beta 118.82
_cell_angle_gamma 90.00
_space_group_name_H-M_alt 'P 1'
_space_group_IT_number 1
loop_
_space_group_symop_operation_xyz
'x,y,z'
loop_
_atom_site_label
_atom_site_type_symbol
_atom_site_fract_x
_atom_site_fract_y
_atom_site_fract_z
Na1 Na 0.027 0.250 0.015
Na2 Na 0.294 0.571 0.745
Na3 Na 0.294 0.929 0.745
Na4 Na 0.706 0.071 0.255
Na5 Na 0.706 0.429 0.255
Na6 Na 0.973 0.750 0.985
H1 H 0.276 0.535 0.249
H2 H 0.276 0.965 0.249
H3 H 0.724 0.035 0.751
H4 H 0.724 0.465 0.751
Os1 Os 0.397 0.250 0.621
Os2 Os 0.603 0.750 0.379
O1 O 0.171 0.111 0.429
O2 O 0.171 0.389 0.429
O3 O 0.332 0.588 0.144
O4 O 0.332 0.912 0.144
O5 O 0.344 0.250 0.891
O6 O 0.391 0.750 0.518
O7 O 0.609 0.250 0.482
O8 O 0.656 0.750 0.109
O9 O 0.668 0.088 0.856
O10 O 0.668 0.412 0.856
O11 O 0.829 0.611 0.571
O12 O 0.829 0.889 0.571
```

No. 2
The following is a simulated powder X-ray diffraction pattern of Na2P2H2O7. It was derived from a crystal structure in the Materials Project, relaxed with GGA-PBE, using CuKα.

Top 10 peaks for 2θ from 15° to 90°, in order of rising 2θ:
Position (°2θ)  I_rel
17.5  36
21.7  50
25.6  47
26.9  28
28.7  66
30.2  100
32.3  26
32.6  28
38.9  40
48.8  19

Structure:
```
data_Na2P2H2O7
_chemical_formula_sum 'Na8 P8 H8 O28'
_cell_length_a 15.219
_cell_length_b 14.320
_cell_length_c 7.115
_cell_angle_alpha 83.22
_cell_angle_beta 69.12
_cell_angle_gamma 27.66
_space_group_name_H-M_alt 'P 1'
_space_group_IT_number 1
loop_
_space_group_symop_operation_xyz
'x,y,z'
loop_
_atom_site_label
_atom_site_type_symbol
_atom_site_fract_x
_atom_site_fract_y
_atom_site_fract_z
Na1 Na 0.134 0.215 0.334
Na2 Na 0.183 0.666 0.785
Na3 Na 0.215 0.134 0.817
Na4 Na 0.334 0.817 0.134
Na5 Na 0.666 0.183 0.866
Na6 Na 0.785 0.866 0.183
Na7 Na 0.817 0.334 0.215
Na8 Na 0.866 0.785 0.666
P1 P 0.145 0.748 0.321
P2 P 0.252 0.855 0.713
P3 P 0.287 0.321 0.748
P4 P 0.321 0.287 0.145
P5 P 0.679 0.713 0.855
P6 P 0.713 0.679 0.252
P7 P 0.748 0.145 0.287
P8 P 0.855 0.252 0.679
H1 H 0.199 0.551 0.199
H2 H 0.260 0.260 0.490
H3 H 0.449 0.801 0.449
H4 H 0.490 0.490 0.260
H5 H 0.510 0.510 0.740
H6 H 0.551 0.199 0.551
H7 H 0.740 0.740 0.510
H8 H 0.801 0.449 0.801
O1 O 0.019 0.811 0.555
O2 O 0.029 0.029 0.721
O3 O 0.116 0.555 0.811
O4 O 0.131 0.533 0.263
O5 O 0.189 0.981 0.884
O6 O 0.238 0.278 0.671
O7 O 0.263 0.572 0.131
O8 O 0.278 0.238 0.312
O9 O 0.279 0.279 0.971
O10 O 0.312 0.671 0.278
O11 O 0.329 0.688 0.762
O12 O 0.428 0.737 0.467
O13 O 0.445 0.884 0.981
O14 O 0.467 0.869 0.428
O15 O 0.533 0.131 0.572
O16 O 0.555 0.116 0.019
O17 O 0.572 0.263 0.533
O18 O 0.671 0.312 0.238
O19 O 0.688 0.329 0.722
O20 O 0.721 0.721 0.029
O21 O 0.722 0.762 0.688
O22 O 0.737 0.428 0.869
O23 O 0.762 0.722 0.329
O24 O 0.811 0.019 0.116
O25 O 0.869 0.467 0.737
O26 O 0.884 0.445 0.189
O27 O 0.971 0.971 0.279
O28 O 0.981 0.189 0.445
```

No. 3
The following is a simulated powder X-ray diffraction pattern of Na2PHO4. It was derived from a crystal structure in the Materials Project, relaxed with GGA-PBE, using CuKα.

Top 10 peaks for 2θ from 15° to 90°, in order of rising 2θ:
Position (°2θ)  I_rel
22.0  36
22.8  44
25.5  22
30.7  35
31.4  100
32.5  72
44.9  23
46.7  20
51.4  19
56.9  26

Structure:
```
data_Na2PHO4
_chemical_formula_sum 'Na4 P2 H2 O8'
_cell_length_a 5.514
_cell_length_b 6.984
_cell_length_c 5.523
_cell_angle_alpha 90.00
_cell_angle_beta 116.39
_cell_angle_gamma 90.00
_space_group_name_H-M_alt 'P 1'
_space_group_IT_number 1
loop_
_space_group_symop_operation_xyz
'x,y,z'
loop_
_atom_site_label
_atom_site_type_symbol
_atom_site_fract_x
_atom_site_fract_y
_atom_site_fract_z
Na1 Na 0.013 0.000 0.494
Na2 Na 0.250 0.743 0.120
Na3 Na 0.750 0.243 0.880
Na4 Na 0.987 0.500 0.506
P1 P 0.388 0.230 0.166
P2 P 0.612 0.730 0.834
H1 H 0.455 0.467 0.459
H2 H 0.545 0.967 0.541
O1 O 0.233 0.242 0.859
O2 O 0.298 0.420 0.283
O3 O 0.302 0.054 0.283
O4 O 0.303 0.740 0.721
O5 O 0.697 0.240 0.279
O6 O 0.698 0.554 0.717
O7 O 0.702 0.920 0.717
O8 O 0.767 0.742 0.141
```